Structure and computed X-ray diffraction stick pattern of SrTm3Pb2 (a crystal structure in Alexandria, relaxed with PBE; copper Kα).
No peak broadening, texture or thermal motion is included.

Cell and atoms:
Cell lengths 19.059, 4.958, 9.791 Å; angles 90.00, 119.91, 90.00 degrees
Space group C2/m (No. 12)
Symmetry-distinct sites (fractional):
Sr (0.135, 0.000, 0.077) [4 per cell]
Tm (0.050, 0.000, 0.392) [4 per cell]
Tm (0.095, 0.500, 0.673) [4 per cell]
Tm (0.187, 0.500, 0.432) [4 per cell]
Pb (0.009, 0.500, 0.166) [4 per cell]
Pb (0.210, 0.000, 0.735) [4 per cell]

Largest 6 diffraction maxima, in order of rising 2θ, 2θ = 10–90°:
2θ = 10.4°, 8.487 Å, I = 35, (0 0 1); 2θ = 29.5°, 3.030 Å, I = 100, (3 1 1); 2θ = 30.5°, 2.927 Å, I = 63, (5 1 -2); 2θ = 34.8°, 2.577 Å, I = 44, (5 1 -3); 2θ = 36.2°, 2.479 Å, I = 47, (0 2 0); 2θ = 37.3°, 2.412 Å, I = 37, (3 1 2)